# 1
# PmBiPt5
Simulated X-ray powder pattern, copper Kα. Input: a crystal structure in Alexandria, relaxed with GGA-PBE.
Peak positions follow from Bragg's law for the DFT cell and can differ from measured ones.

Structural model:
```
data_PmBiPt5
_chemical_formula_sum 'Pm4 Bi4 Pt20'
_symmetry_space_group_name_H-M 'P n m a'
_symmetry_Int_Tables_number 62
_cell_length_a 8.9444
_cell_length_b 5.5601
_cell_length_c 11.0868
_cell_angle_alpha 90.00
_cell_angle_beta 90.00
_cell_angle_gamma 90.00
loop_
_symmetry_equiv_pos_as_xyz
'x,y,z'
'-x,-y,-z'
'-x+1/2,-y,z+1/2'
'x+1/2,y,-z+1/2'
'x+1/2,-y+1/2,-z+1/2'
'-x+1/2,y+1/2,z+1/2'
'-x,y+1/2,-z'
'x,-y+1/2,z'
loop_
_atom_site_label
_atom_site_fract_x
_atom_site_fract_y
_atom_site_fract_z
Pm1 0.2403 0.2500 0.0498
Bi1 0.1363 0.2500 0.3534
Pt1 0.0797 0.5033 0.8121
Pt2 0.0878 0.2500 0.5928
Pt3 0.0919 0.7500 0.0250
Pt4 0.1663 0.7500 0.2676
```

Most intense lines, 10 to 90 degrees two-theta, low angle first:
2θ (°), Rel. int., h k l
32.20, 27, 0 2 0
33.86, 59, 1 0 4
35.10, 88, 3 1 1
35.40, 32, 2 1 3
39.00, 69, 2 2 1
41.18, 34, 4 0 1
41.63, 71, 2 1 4
41.92, 100, 1 2 3

=====

# 2
# Pm3PuBi4
Simulated X-ray powder pattern, copper Kα. Input: a crystal structure in Alexandria, relaxed with GGA-PBE.
Peak positions follow from Bragg's law for the DFT cell and can differ from measured ones.

Structural model:
```
data_Pm3PuBi4
_chemical_formula_sum 'Pm3 Pu1 Bi4'
_symmetry_space_group_name_H-M 'P m -3 m'
_symmetry_Int_Tables_number 221
_symmetry_space_group_name_Hall '-P 4 2 3'
_cell_length_a 6.4634
_cell_length_b 6.4634
_cell_length_c 6.4634
_cell_angle_alpha 90.00
_cell_angle_beta 90.00
_cell_angle_gamma 90.00
loop_
_atom_site_label
_atom_site_fract_x
_atom_site_fract_y
_atom_site_fract_z
Pm1 0.0000 0.0000 0.5000
Pu1 0.5000 0.5000 0.5000
Bi1 0.0000 0.0000 0.0000
Bi2 0.0000 0.5000 0.5000
```

Most intense lines, 10 to 90 degrees two-theta, low angle first:
2θ (°), Rel. int., h k l
23.85, 2, 1 1 1
27.60, 100, 2 0 0
39.43, 79, 2 2 0
48.81, 29, 2 2 2
56.99, 14, 4 0 0
64.47, 38, 4 2 0
71.51, 28, 4 2 2
84.87, 9, 4 4 0

=====

# 3
# Pm4PuBi5
Simulated X-ray powder pattern, copper Kα. Input: a crystal structure in Alexandria, relaxed with GGA-PBE.
Peak positions follow from Bragg's law for the DFT cell and can differ from measured ones.

Structural model:
```
data_Pm4PuBi5
_chemical_formula_sum 'Pm8 Pu2 Bi10'
_symmetry_space_group_name_H-M 'I 4/m m m'
_symmetry_Int_Tables_number 139
_symmetry_space_group_name_Hall '-I 4 2'
_cell_length_a 4.5747
_cell_length_b 4.5747
_cell_length_c 32.2940
_cell_angle_alpha 90.00
_cell_angle_beta 90.00
_cell_angle_gamma 90.00
loop_
_atom_site_label
_atom_site_fract_x
_atom_site_fract_y
_atom_site_fract_z
Pm1 0.0000 0.0000 0.1005
Pm2 0.0000 0.0000 0.3001
Pu1 0.0000 0.0000 0.5000
Bi1 0.0000 0.0000 0.0000
Bi2 0.0000 0.0000 0.2001
Bi3 0.0000 0.0000 0.4006
```

Most intense lines, 10 to 90 degrees two-theta, low angle first:
2θ (°), Rel. int., h k l
27.59, 100, 1 1 0
39.42, 79, 2 0 0
48.79, 29, 2 0 10
56.93, 9, 2 2 0
64.42, 25, 3 1 0
64.50, 13, 1 1 20
71.48, 28, 3 1 10
84.82, 9, 4 0 0

=====

# 4
# Pm3PuBi4
Simulated X-ray powder pattern, copper Kα. Input: a crystal structure in Alexandria, relaxed with GGA-PBE.
Peak positions follow from Bragg's law for the DFT cell and can differ from measured ones.

Structural model:
```
data_Pm3PuBi4
_chemical_formula_sum 'Pm6 Pu2 Bi8'
_symmetry_space_group_name_H-M 'C m m m'
_symmetry_Int_Tables_number 65
_symmetry_space_group_name_Hall '-C 2 2'
_cell_length_a 9.1415
_cell_length_b 12.9186
_cell_length_c 4.5726
_cell_angle_alpha 90.00
_cell_angle_beta 90.00
_cell_angle_gamma 90.00
loop_
_atom_site_label
_atom_site_fract_x
_atom_site_fract_y
_atom_site_fract_z
Pm1 0.0000 0.0000 0.0000
Pm2 0.2500 0.2500 0.5000
Pu1 0.0000 0.5000 0.0000
Bi1 0.0000 0.2515 0.0000
Bi2 0.2472 0.5000 0.5000
```

Most intense lines, 10 to 90 degrees two-theta, low angle first:
2θ (°), Rel. int., h k l
23.85, 2, 0 2 1
27.60, 100, 2 0 1
39.43, 79, 4 0 0
48.81, 29, 4 4 0
56.99, 14, 4 0 2
64.47, 38, 4 4 2
71.51, 28, 2 4 3
84.87, 9, 0 0 4

=====

# 5
# Rb2Pm2BiS6
Simulated X-ray powder pattern, copper Kα. Input: a crystal structure in Alexandria, relaxed with GGA-PBE.
Peak positions follow from Bragg's law for the DFT cell and can differ from measured ones.

Structural model:
```
data_Rb2Pm2BiS6
_chemical_formula_sum 'Rb4 Pm4 Bi2 S12'
_symmetry_space_group_name_H-M 'C 1 2/m 1'
_symmetry_Int_Tables_number 12
_cell_length_a 7.1302
_cell_length_b 12.3233
_cell_length_c 8.2822
_cell_angle_alpha 90.00
_cell_angle_beta 106.56
_cell_angle_gamma 90.00
loop_
_symmetry_equiv_pos_as_xyz
'x,y,z'
'-x,-y,-z'
'-x,y,-z'
'x,-y,z'
'x+1/2,y+1/2,z'
'-x+1/2,-y+1/2,-z'
'-x+1/2,y+1/2,-z'
'x+1/2,-y+1/2,z'
loop_
_atom_site_label
_atom_site_fract_x
_atom_site_fract_y
_atom_site_fract_z
Rb1 0.0000 0.1674 0.0000
Pm1 0.0000 0.3332 0.5000
Bi1 0.0000 0.0000 0.5000
S1 0.2270 0.1647 0.6915
S2 0.2394 0.5000 0.6912
```

Most intense lines, 10 to 90 degrees two-theta, low angle first:
2θ (°), Rel. int., h k l
11.15, 67, 0 0 1
22.40, 23, 0 0 2
25.29, 17, 1 3 0
26.12, 40, 2 0 0
29.22, 100, 1 3 1
36.53, 17, 2 0 -3
39.48, 24, 1 3 -3
44.04, 33, 0 6 0

=====

# 6
# Rb2PmBiTe4
Simulated X-ray powder pattern, copper Kα. Input: a crystal structure in Alexandria, relaxed with GGA-PBE.
Peak positions follow from Bragg's law for the DFT cell and can differ from measured ones.

Structural model:
```
data_Rb2PmBiTe4
_chemical_formula_sum 'Rb2 Pm1 Bi1 Te4'
_symmetry_space_group_name_H-M 'P 1 2/m 1'
_symmetry_Int_Tables_number 10
_cell_length_a 8.0703
_cell_length_b 4.6095
_cell_length_c 8.9682
_cell_angle_alpha 90.00
_cell_angle_beta 107.09
_cell_angle_gamma 90.00
loop_
_symmetry_equiv_pos_as_xyz
'x,y,z'
'-x,-y,-z'
'-x,y,-z'
'x,-y,z'
loop_
_atom_site_label
_atom_site_fract_x
_atom_site_fract_y
_atom_site_fract_z
Rb1 0.0000 0.0000 0.0000
Rb2 0.5000 0.5000 0.0000
Pm1 0.0000 0.5000 0.5000
Bi1 0.5000 0.0000 0.5000
Te1 0.2345 0.0000 0.7030
Te2 0.2656 0.5000 0.2974
```

Most intense lines, 10 to 90 degrees two-theta, low angle first:
2θ (°), Rel. int., h k l
10.32, 29, 0 0 1
26.18, 100, 1 1 1
33.06, 14, 2 0 -3
35.60, 12, 2 0 2
35.88, 23, 1 1 -3
38.76, 25, 3 1 -1
39.08, 12, 0 2 0
47.63, 13, 2 2 -2